Calculated powder diffractogram of Cs3Ag2BiBr9 for CuKα, from a DFT-relaxed cell (GGA-PBE, Alexandria).

Main lines, in order of falling intensity (10 to 90 degrees two-theta):
d/Å, 2θ/deg, I (rel.)
2.827, 31.65, 100
1.994, 45.49, 36
2.004, 45.25, 35
4.008, 22.18, 33
3.988, 22.29, 33
3.259, 27.37, 31
2.305, 39.08, 23
5.654, 15.67, 22

Structural model:
a b c (Å): 7.9765 7.9765 9.8418
angles (deg): 90.00 90.00 120.00
Space group P-3m1 (No. 164)
One atom of each set of equivalent atoms:
Cs (0.0000, 0.0000, 0.0000)
Cs (0.3333, 0.6667, 0.6812)
Ag (0.3333, 0.6667, 0.1514)
Bi (0.0000, 0.0000, 0.5000)
Br (0.0000, 0.5000, 0.0000)
Br (0.1694, 0.3388, 0.3313)